No. 1
Cs2Na2IrO4: theoretical X-ray powder pattern (Cu Ka), based on the GGA-PBE geometry in Alexandria.
Lines closer than 0.1° are merged.

```
Cs2Na2IrO4
1.0
6.0598 -3.0051 0.0000
6.0598 3.0051 0.0000
-2.3829 0.0000 9.4595
Cs Na Ir O
4 4 2 8
direct
0.1656 0.1656 0.3631
0.1692 0.1692 0.7409
0.8308 0.8308 0.2591
0.8344 0.8344 0.6369
0.2843 0.2843 0.0745
0.4735 0.4735 0.8419
0.5265 0.5265 0.1581
0.7157 0.7157 0.9255
0.0000 0.0000 0.0000
0.5000 0.5000 0.5000
0.1111 0.6556 0.9699
0.3444 0.8889 0.0301
0.3753 0.3753 0.5925
0.3949 0.3949 0.3134
0.6051 0.6051 0.6866
0.6247 0.6247 0.4075
0.6556 0.1111 0.9699
0.8889 0.3444 0.0301
```

Largest 6 diffraction maxima, by intensity, 5° ≤ 2θ ≤ 70°:
Position (°2θ), Rel. int.
31.28, 100
26.90, 88
29.74, 77
27.17, 43
19.95, 37
30.61, 36

---

No. 2
Cs2IrO5: theoretical X-ray powder pattern (Cu Ka), based on the GGA-PBE geometry in Alexandria.
Lines closer than 0.1° are merged.

```
Cs2IrO5
1.0
6.7720 0.0000 0.0000
0.0000 6.7720 0.0000
0.0000 0.0000 3.8955
Cs Ir O
2 1 5
direct
0.0000 0.5000 0.0000
0.5000 0.0000 0.0000
0.0000 0.0000 0.5000
0.0000 0.0000 0.0000
0.1951 0.1951 0.5000
0.1951 0.8049 0.5000
0.8049 0.1951 0.5000
0.8049 0.8049 0.5000
```

Largest 6 diffraction maxima, by intensity, 5° ≤ 2θ ≤ 70°:
Position (°2θ), Rel. int.
29.55, 100
13.07, 80
26.34, 72
48.50, 45
37.58, 40
54.19, 16

---

No. 3
Cs2Ir3O8: theoretical X-ray powder pattern (Cu Ka), based on the GGA-PBE geometry in Alexandria.
Lines closer than 0.1° are merged.

```
Cs2Ir3O8
1.0
7.0146 -3.1996 0.0000
7.0146 3.1996 0.0000
-1.7350 0.0000 5.1598
Cs Ir O
2 3 8
direct
0.2242 0.2242 0.1868
0.7758 0.7758 0.8132
0.2435 0.7565 0.5000
0.5000 0.5000 0.0000
0.7565 0.2435 0.5000
0.0819 0.0819 0.4747
0.2135 0.6427 0.1329
0.3573 0.7865 0.8671
0.4250 0.4250 0.6023
0.5750 0.5750 0.3977
0.6427 0.2135 0.1329
0.7865 0.3573 0.8671
0.9181 0.9181 0.5253
```

Largest 6 diffraction maxima, by intensity, 5° ≤ 2θ ≤ 70°:
Position (°2θ), Rel. int.
13.32, 100
32.97, 83
26.82, 73
24.69, 57
25.98, 57
33.44, 41

---

No. 4
Cs2IrPdO4: theoretical X-ray powder pattern (Cu Ka), based on the GGA-PBE geometry in Alexandria.
Lines closer than 0.1° are merged.

```
Cs2IrPdO4
1.0
-3.2886 3.2886 3.7348
3.2886 -3.2886 3.7348
3.2886 3.2886 -3.7348
Cs Ir Pd O
2 1 1 4
direct
0.0000 0.0000 0.0000
0.7500 0.2500 0.5000
0.5000 0.5000 0.0000
0.2500 0.7500 0.5000
0.3110 0.1722 0.6393
0.3283 0.6890 0.8613
0.5330 0.6717 0.3607
0.8278 0.4670 0.1387
```

Largest 6 diffraction maxima, by intensity, 5° ≤ 2θ ≤ 70°:
Position (°2θ), Rel. int.
30.70, 100
27.12, 62
50.21, 50
38.72, 26
56.69, 18
63.23, 14

---

No. 5
CsPr2IrO8: theoretical X-ray powder pattern (Cu Ka), based on the GGA-PBE geometry in Alexandria.
Lines closer than 0.1° are merged.

```
CsPr2IrO8
1.0
4.8021 0.0000 0.0000
-0.4664 4.8526 0.0000
-0.8385 -0.7982 8.1634
Cs Pr Ir O
1 2 1 8
direct
0.0000 0.0000 0.0000
0.4412 0.4492 0.7155
0.5588 0.5508 0.2845
0.0000 0.0000 0.5000
0.0916 0.7205 0.3361
0.2742 0.2654 0.4350
0.2767 0.9145 0.6720
0.3900 0.6005 0.0010
0.6100 0.3995 0.9990
0.7233 0.0855 0.3280
0.7258 0.7346 0.5650
0.9084 0.2795 0.6639
```

Largest 6 diffraction maxima, by intensity, 5° ≤ 2θ ≤ 70°:
Position (°2θ), Rel. int.
27.19, 100
24.87, 75
27.69, 51
10.84, 31
30.01, 31
30.41, 30

---

No. 6
Cs2PuIrO6: theoretical X-ray powder pattern (Cu Ka), based on the GGA-PBE geometry in Alexandria.
Lines closer than 0.1° are merged.

```
Cs2PuIrO6
1.0
-2.8882 2.8882 5.8166
2.8882 -2.8882 5.8166
2.8882 2.8882 -5.8166
Cs Pu Ir O
2 1 1 6
direct
0.2500 0.7500 0.5000
0.7500 0.2500 0.5000
0.0000 0.0000 0.0000
0.5000 0.5000 0.0000
0.1602 0.1602 0.0000
0.2666 0.2666 0.5332
0.2666 0.7334 0.0000
0.7334 0.2666 0.0000
0.7334 0.7334 0.4668
0.8398 0.8398 0.0000
```

Largest 6 diffraction maxima, by intensity, 5° ≤ 2θ ≤ 70°:
Position (°2θ), Rel. int.
26.67, 100
30.96, 32
52.51, 31
44.19, 21
30.74, 21
52.23, 18